Entry 1:
BaCdSnS4: theoretical X-ray diffraction stick pattern (Cu Kα), based on a structure optimized by DFT (GGA-PBE).

The 8 most intense peaks (15° ≤ 2θ ≤ 90°), sorted by position:
d (Å)  I/Imax
5.591  24
3.992  100
3.923  39
3.215  53
2.796  37
2.540  77
2.141  21
2.110  32

Cell and atoms:
Cell lengths 13.0183, 12.8707, 15.6926 Å; angles 53.12, 52.26, 74.62 degrees
Sites, in units of the cell vectors:
1 Ba 0.0000 0.0000 0.0000
2 Ba 0.2442 0.7515 0.2514
3 Ba 0.2500 0.2500 0.2500
4 Ba 0.4959 0.4959 0.5041
5 Ba 0.4971 0.9986 0.4985
6 Ba 0.7459 0.7459 0.7541
7 Ba 0.7515 0.2442 0.7529
8 Ba 0.9986 0.4971 0.0058
9 Cd 0.0139 0.4851 0.7376
10 Cd 0.0814 0.9792 0.6691
11 Cd 0.4851 0.0139 0.7634
12 Cd 0.4866 0.5124 0.7649
13 Cd 0.5124 0.4866 0.2361
14 Cd 0.5809 0.9797 0.1686
15 Cd 0.9792 0.0814 0.2703
16 Cd 0.9797 0.5809 0.2708
17 Sn 0.1535 0.2663 0.5964
18 Sn 0.2357 0.7632 0.5137
19 Sn 0.2663 0.1535 0.9838
20 Sn 0.2662 0.6536 0.9837
21 Sn 0.6536 0.2662 0.0965
22 Sn 0.7363 0.7626 0.0143
23 Sn 0.7632 0.2357 0.4874
24 Sn 0.7626 0.7363 0.4868
25 S 0.0445 0.7210 0.5385
26 S 0.0462 0.2210 0.5360
27 S 0.0532 0.7140 0.0290
28 S 0.0546 0.2163 0.0267
29 S 0.2137 0.5562 0.7041
30 S 0.2163 0.0546 0.7024
31 S 0.2210 0.0462 0.1968
32 S 0.2233 0.5476 0.1954
33 S 0.2738 0.9683 0.9748
34 S 0.2752 0.4670 0.9762
35 S 0.2767 0.9664 0.4708
36 S 0.3004 0.4693 0.4470
37 S 0.4281 0.7691 0.3207
38 S 0.4670 0.2752 0.2817
39 S 0.4667 0.8030 0.7807
40 S 0.4693 0.3004 0.7833
41 S 0.5459 0.7241 0.0363
42 S 0.5476 0.2233 0.0337
43 S 0.5540 0.7115 0.5290
44 S 0.5562 0.2137 0.5259
45 S 0.7115 0.5540 0.2055
46 S 0.7140 0.0532 0.2038
47 S 0.7210 0.0445 0.6960
48 S 0.7241 0.5459 0.6938
49 S 0.7679 0.9293 0.4809
50 S 0.7691 0.4281 0.4821
51 S 0.7792 0.9639 0.9733
52 S 0.8030 0.4667 0.9496
53 S 0.9293 0.7679 0.8219
54 S 0.9639 0.7792 0.2836
55 S 0.9664 0.2767 0.2861
56 S 0.9683 0.2738 0.7830

---

Entry 2:
ErMnGa: theoretical X-ray diffraction stick pattern (Cu Kα), based on a structure optimized by DFT (GGA-PBE).

The 8 most intense peaks (15° ≤ 2θ ≤ 90°), sorted by position:
d (Å)  I/Imax
4.086  21
3.066  24
2.680  45
2.668  97
2.452  100
2.440  46
2.323  20
2.043  54

Cell and atoms:
Cell lengths 8.1438, 8.1438, 8.1438 Å; angles 119.77, 83.30, 128.33 degrees
Sites, in units of the cell vectors:
1 Er 0.0011 0.2500 0.2511
2 Er 0.1374 0.1065 0.5309
3 Er 0.1864 0.6349 0.0515
4 Er 0.5757 0.6065 0.4691
5 Er 0.5834 0.1349 0.9485
6 Er 0.9989 0.7500 0.7489
7 Mn 0.3487 0.3487 0.0000
8 Mn 0.3487 0.8487 0.5000
9 Mn 0.5858 0.1854 0.3658
10 Mn 0.5858 0.7200 0.9004
11 Mn 0.8196 0.2200 0.6342
12 Mn 0.8196 0.6854 0.0996
13 Ga 0.2492 0.0770 0.1631
14 Ga 0.2492 0.5861 0.6722
15 Ga 0.5672 0.3366 0.7306
16 Ga 0.6060 0.8366 0.2694
17 Ga 0.9139 0.0861 0.8369
18 Ga 0.9139 0.5770 0.3278

---

Entry 3:
Er3Ru2: theoretical X-ray diffraction stick pattern (Cu Kα), based on a structure optimized by DFT (GGA-PBE).

The 8 most intense peaks (15° ≤ 2θ ≤ 90°), sorted by position:
d (Å)  I/Imax
3.360  20
2.540  100
2.125  46
1.735  31
1.401  15
1.372  16
1.318  10
1.207  18

Cell and atoms:
Cell lengths 8.2295, 8.2295, 8.2295 Å; angles 109.47, 109.47, 109.47 degrees
Sites, in units of the cell vectors:
1 Er 0.1250 0.7500 0.8750
2 Er 0.1250 0.8750 0.2500
3 Er 0.2500 0.1250 0.8750
4 Er 0.2500 0.6250 0.3750
5 Er 0.3750 0.2500 0.6250
6 Er 0.3750 0.6250 0.7500
7 Er 0.6250 0.3750 0.2500
8 Er 0.6250 0.7500 0.3750
9 Er 0.7500 0.3750 0.6250
10 Er 0.7500 0.8750 0.1250
11 Er 0.8750 0.1250 0.7500
12 Er 0.8750 0.2500 0.1250
13 Ru 0.0000 0.2384 0.5000
14 Ru 0.0000 0.7384 0.5000
15 Ru 0.2384 0.5000 0.0000
16 Ru 0.2616 0.2616 0.2616
17 Ru 0.5000 0.0000 0.2384
18 Ru 0.5000 0.0000 0.7384
19 Ru 0.7384 0.5000 0.0000
20 Ru 0.7616 0.7616 0.7616

---

Entry 4:
Cs: theoretical X-ray diffraction stick pattern (Cu Kα), based on a structure optimized by DFT (GGA-PBE).

The 8 most intense peaks (15° ≤ 2θ ≤ 90°), sorted by position:
d (Å)  I/Imax
4.723  33
4.353  100
4.154  73
3.206  25
2.478  19
2.377  22
2.280  34
1.835  23

Cell and atoms:
Cell lengths 5.3544, 10.0220, 8.7318 Å; angles 90.00, 90.00, 90.00 degrees
Sites, in units of the cell vectors:
1 Cs 0.2321 0.1088 0.2500
2 Cs 0.2321 0.3912 0.7500
3 Cs 0.7679 0.6088 0.2500
4 Cs 0.7679 0.8912 0.7500

---

Entry 5:
CaY: theoretical X-ray diffraction stick pattern (Cu Kα), based on a structure optimized by DFT (GGA-PBE).

The 8 most intense peaks (15° ≤ 2θ ≤ 90°), sorted by position:
d (Å)  I/Imax
3.088  59
2.933  52
2.901  100
2.891  99
2.127  40
1.747  21
1.740  21
1.686  40

Cell and atoms:
Cell lengths 3.5371, 3.5371, 6.1762 Å; angles 90.16, 90.16, 112.05 degrees
Sites, in units of the cell vectors:
1 Ca 0.0000 0.0000 0.0000
2 Y 0.5000 0.5000 0.5000

---

- Number 1 is which compound?
  BaCdSnS4